Record 1
Structure and theoretical powder XRD pattern of BRhI2 (a crystal structure in Alexandria, relaxed with PBE; a wavelength of 1.5418 Å).

Structure:
Unit cell a=5.7893 b=5.7893 c=11.5321 alpha=90.00 beta=90.00 gamma=90.00
Sites, in units of the cell vectors:
B1 0.0000 0.0000 0.0000
B2 0.0000 0.5000 0.2500
B3 0.5000 0.0000 0.7500
B4 0.5000 0.5000 0.5000
Rh1 0.0000 0.0000 0.5000
Rh2 0.0000 0.5000 0.7500
Rh3 0.5000 0.0000 0.2500
Rh4 0.5000 0.5000 0.0000
I1 0.2234 0.2500 0.1250
I2 0.2500 0.7234 0.3750
I3 0.2500 0.7766 0.8750
I4 0.2766 0.2500 0.6250
I5 0.7234 0.7500 0.6250
I6 0.7500 0.2234 0.8750
I7 0.7500 0.2766 0.3750
I8 0.7766 0.7500 0.1250

Peak list (10 most intense, 2θ from 15° to 90°, sorted by position)
- 2θ 17.14, I = 8.7, hkl 1 0 1
- 2θ 26.71, I = 100.0, hkl 1 1 2
- 2θ 27.86, I = 9.7, hkl 1 0 3
- 2θ 30.89, I = 7.7, hkl 2 0 0
- 2θ 35.54, I = 12.3, hkl 2 1 1
- 2θ 44.31, I = 63.2, hkl 2 0 4
- 2θ 52.44, I = 27.3, hkl 3 1 2
- 2θ 52.60, I = 14.8, hkl 1 1 6
- 2θ 71.12, I = 10.9, hkl 3 1 6
- 2θ 81.51, I = 12.2, hkl 4 2 4


Record 2
Structure and theoretical powder XRD pattern of BRu2I (a crystal structure in Alexandria, relaxed with PBE; a wavelength of 1.5418 Å).

Structure:
Unit cell a=5.1474 b=5.1474 c=10.9028 alpha=90.00 beta=90.00 gamma=90.00
Sites, in units of the cell vectors:
B1 0.0000 0.0000 0.0000
B2 0.0000 0.5000 0.2500
B3 0.5000 0.0000 0.7500
B4 0.5000 0.5000 0.5000
Ru1 0.1548 0.2500 0.1250
Ru2 0.2500 0.6548 0.3750
Ru3 0.2500 0.8452 0.8750
Ru4 0.3452 0.2500 0.6250
Ru5 0.6548 0.7500 0.6250
Ru6 0.7500 0.1548 0.8750
Ru7 0.7500 0.3452 0.3750
Ru8 0.8452 0.7500 0.1250
I1 0.0000 0.0000 0.5000
I2 0.0000 0.5000 0.7500
I3 0.5000 0.0000 0.2500
I4 0.5000 0.5000 0.0000

Peak list (10 most intense, 2θ from 15° to 90°, sorted by position)
- 2θ 29.51, I = 100.0, hkl 1 1 2
- 2θ 30.10, I = 39.8, hkl 1 0 3
- 2θ 40.03, I = 53.6, hkl 2 1 1
- 2θ 45.16, I = 13.0, hkl 1 0 5
- 2θ 46.71, I = 11.6, hkl 2 1 3
- 2θ 48.66, I = 38.7, hkl 2 0 4
- 2θ 54.11, I = 12.8, hkl 3 0 1
- 2θ 56.60, I = 19.1, hkl 1 1 6
- 2θ 59.24, I = 12.1, hkl 3 1 2
- 2θ 70.93, I = 14.3, hkl 3 2 3